This entry pairs a crystal structure of CdCuAu3 with its computed PXRD pattern. Radiation: Cu Kα X-rays. Structure: DFT lattice parameters and positions (PBE).
Kinematic intensities with the Lorentz-polarization factor, no thermal factor.

The 10 most intense peaks (2θ from 15° to 90°), low angle first:
26.36 deg, I 42.3
34.94 deg, I 34.9
36.74 deg, I 50.0
37.51 deg, I 100.0
39.33 deg, I 40.2
41.56 deg, I 22.7
44.29 deg, I 35.8
45.79 deg, I 31.9
54.26 deg, I 21.5
71.96 deg, I 30.6

Structural model:
```
data_CdCuAu3
_space_group_name_H-M_alt 'P m m a'
_space_group_IT_number 51
_cell_length_a 7.867
_cell_length_b 3.381
_cell_length_c 6.783
_cell_angle_alpha 90.00
_cell_angle_beta 90.00
_cell_angle_gamma 90.00
loop_
_space_group_symop_operation_xyz
'x,y,z'
'-x,-y,-z'
'-x+1/2,-y,z'
'x+1/2,y,-z'
'x+1/2,-y,-z'
'-x+1/2,y,z'
'-x,y,-z'
'x,-y,z'
loop_
_atom_site_label
_atom_site_type_symbol
_atom_site_fract_x
_atom_site_fract_y
_atom_site_fract_z
Cd1 Cd 0.250 0.000 0.082
Cu1 Cu 0.000 0.000 0.500
Au1 Au 0.062 0.500 0.802
Au2 Au 0.250 0.500 0.436
```